Record 1
Diffraction record for LiDy2O2F2. The X-ray diffraction stick pattern is simulated, not measured: it uses DFT lattice parameters and positions (PBE) and CuKα.

Structure:
```
7
Lattice="1.759 1.015 8.632 -1.759 1.015 8.632 0.000 -2.031 8.632" Properties=species:S:1:pos:R:3 pbc="T T T"
Li 0.000 0.000 0.000
Dy 0.000 0.000 6.264
Dy 0.000 0.000 19.632
O 0.000 0.000 9.896
O 0.000 0.000 16.000
F 0.000 0.000 3.508
F 0.000 0.000 22.388
```

Top 6 peaks for 15° ≤ 2θ ≤ 90°, low angle first:
| 2θ (°) | Rel. int. |
| --- | --- |
| 20.58 | 739 |
| 30.14 | 1000 |
| 32.48 | 500 |
| 40.67 | 587 |
| 52.00 | 333 |
| 56.50 | 299 |

***

Record 2
Diffraction record for Ba3Cl2O2. The X-ray diffraction stick pattern is simulated, not measured: it uses DFT lattice parameters and positions (PBE) and CuKα.

Structure:
```
14
Lattice="7.592 0.000 0.000 0.000 8.135 0.000 -3.346 0.000 6.853" Properties=species:S:1:pos:R:3 pbc="T T T"
Ba 0.000 0.000 0.000
Ba -1.673 4.068 3.426
Ba 0.480 0.911 5.202
Ba 2.154 3.156 1.776
Ba 2.093 4.979 5.077
Ba 3.766 7.224 1.651
Cl -1.726 5.387 6.343
Cl -0.053 6.815 2.917
Cl 4.299 1.320 3.936
Cl 5.972 2.748 0.510
O 2.362 0.918 0.435
O 0.689 3.149 3.861
O 3.558 4.986 2.992
O 1.884 7.217 6.418
```

Top 6 peaks for 15° ≤ 2θ ≤ 90°, low angle first:
| 2θ (°) | Rel. int. |
| --- | --- |
| 16.92 | 395 |
| 23.39 | 376 |
| 25.47 | 577 |
| 25.93 | 1000 |
| 28.37 | 287 |
| 31.24 | 316 |

***

Record 3
Diffraction record for Gd8MgAlNi2. The X-ray diffraction stick pattern is simulated, not measured: it uses DFT lattice parameters and positions (PBE) and CuKα.

Structure:
```
24
Lattice="9.577 0.000 0.000 4.780 8.368 0.000 4.788 2.741 7.902" Properties=species:S:1:pos:R:3 pbc="T T T"
Gd 0.000 0.000 0.000
Gd 4.783 4.878 4.887
Gd 8.451 8.312 3.643
Gd 9.593 7.652 6.941
Gd 4.812 2.843 1.932
Gd 6.606 5.912 1.947
Gd 6.594 1.741 4.938
Gd 3.626 0.006 0.003
Gd 8.402 4.882 4.881
Gd 11.390 4.539 6.908
Gd 13.177 7.650 6.939
Gd 8.398 2.841 1.944
Gd 11.388 3.229 3.624
Gd 16.177 9.368 6.765
Gd 14.314 8.310 3.635
Gd 11.382 3.219 0.032
Mg 11.384 8.315 1.815
Mg 11.382 6.574 4.247
Al 9.893 5.724 1.801
Al 12.860 5.712 1.800
Ni 3.870 2.241 5.273
Ni 6.584 6.987 5.288
Ni 1.813 1.051 1.855
Ni 9.323 2.230 5.276
```

Top 6 peaks for 15° ≤ 2θ ≤ 90°, low angle first:
| 2θ (°) | Rel. int. |
| --- | --- |
| 32.05 | 868 |
| 32.29 | 833 |
| 34.08 | 1000 |
| 34.19 | 914 |
| 34.29 | 814 |
| 57.35 | 683 |